(1)
Starting from a structure optimized by DFT (GGA-PBE), the PXRD pattern of Sr5Mg2Bi5 was computed for Cu Kα.
Intensities are scaled so that the largest is 100.

Crystal structure
Unit cell a=10.8940 b=10.8940 c=7.9244 alpha=90.00 beta=90.00 gamma=90.00
Space group I4mm (No. 107)
Inequivalent atoms, fractional coordinates:
Sr: 0.0000 0.0000 0.0000 [2 per cell]
Sr: 0.2050 0.2050 0.5851 [8 per cell]
Mg: 0.0000 0.5000 0.1481 [4 per cell]
Bi: 0.0000 0.0000 0.4289 [2 per cell]
Bi: 0.0000 0.3008 0.8962 [8 per cell]

Peak list (10 most intense, 2θ = 10–80°, sorted by position)
21.4 deg, I 100.0; 22.4 deg, I 24.4; 27.0 deg, I 52.3; 32.4 deg, I 33.0; 32.9 deg, I 28.9; 34.5 deg, I 27.8; 34.9 deg, I 30.4; 38.8 deg, I 38.7; 46.3 deg, I 28.8; 57.4 deg, I 34.2


(2)
Starting from a structure optimized by DFT (GGA-PBE), the PXRD pattern of Na3Tl2 was computed for Cu Kα.
Intensities are scaled so that the largest is 100.

Crystal structure
Unit cell a=9.3446 b=9.3446 c=18.8760 alpha=90.00 beta=90.00 gamma=120.00
Space group R-3 (No. 148, hexagonal axes)
Inequivalent atoms, fractional coordinates:
Na: 0.0000 0.0000 0.0000 [3 per cell]
Na: 0.0000 0.0000 0.2191 [6 per cell]
Na: 0.0088 0.2469 0.3959 [18 per cell]
Tl: 0.0334 0.2949 0.8918 [18 per cell]

Peak list (10 most intense, 2θ = 10–80°, sorted by position)
11.9 deg, I 26.6; 14.1 deg, I 24.1; 19.0 deg, I 35.9; 22.5 deg, I 17.4; 23.7 deg, I 100.0; 30.7 deg, I 49.7; 33.2 deg, I 26.7; 34.4 deg, I 52.9; 35.0 deg, I 23.9; 44.7 deg, I 22.3


(3)
Starting from a structure optimized by DFT (GGA-PBE), the PXRD pattern of La2TbTh4 was computed for Cu Kα.
Intensities are scaled so that the largest is 100.

Crystal structure
Unit cell a=3.5842 b=36.8451 c=3.5892 alpha=90.00 beta=90.00 gamma=90.00
Space group Cmmm (No. 65)
Inequivalent atoms, fractional coordinates:
La: 0.0000 0.2037 0.0000 [4 per cell]
Tb: 0.0000 0.5000 0.5000 [2 per cell]
Th: 0.0000 0.0699 0.0000 [4 per cell]
Th: 0.0000 0.3643 0.5000 [4 per cell]

Peak list (10 most intense, 2θ = 10–80°, sorted by position)
28.8 deg, I 31.6; 30.2 deg, I 100.0; 31.6 deg, I 71.8; 34.1 deg, I 28.5; 35.5 deg, I 70.5; 50.9 deg, I 25.8; 51.8 deg, I 46.5; 60.3 deg, I 29.0; 61.2 deg, I 22.4; 62.7 deg, I 20.1


(4)
Starting from a structure optimized by DFT (GGA-PBE), the PXRD pattern of MgH2 was computed for Cu Kα.
Intensities are scaled so that the largest is 100.

Crystal structure
Unit cell a=4.7221 b=9.2559 c=4.8762 alpha=90.00 beta=90.00 gamma=90.00
Space group Pbca (No. 61)
Inequivalent atoms, fractional coordinates:
Mg: 0.2282 0.1166 0.0301 [8 per cell]
H: 0.0104 0.5267 0.7583 [8 per cell]
H: 0.1731 0.7000 0.3848 [8 per cell]

Peak list (10 most intense, 2θ = 10–80°, sorted by position)
32.7 deg, I 100.0; 36.9 deg, I 15.6; 38.1 deg, I 16.2; 38.9 deg, I 14.6; 54.1 deg, I 11.0; 54.7 deg, I 10.7; 55.6 deg, I 10.7; 63.8 deg, I 10.7; 65.5 deg, I 11.0; 66.6 deg, I 11.5


(5)
Starting from a structure optimized by DFT (GGA-PBE), the PXRD pattern of MnNi3Pt3 was computed for Cu Kα.
Intensities are scaled so that the largest is 100.

Crystal structure
Unit cell a=7.3011 b=7.7384 c=7.2500 alpha=90.00 beta=90.00 gamma=90.00
Space group Cmmm (No. 65)
Inequivalent atoms, fractional coordinates:
Mn: 0.2154 0.0000 0.0000 [4 per cell]
Ni: 0.0000 0.2478 0.5000 [4 per cell]
Ni: 0.0000 0.2679 0.0000 [4 per cell]
Ni: 0.2218 0.0000 0.5000 [4 per cell]
Pt: 0.0000 0.5000 0.2603 [4 per cell]
Pt: 0.2500 0.2500 0.2513 [8 per cell]

Peak list (10 most intense, 2θ = 10–80°, sorted by position)
16.7 deg, I 23.1; 24.6 deg, I 15.5; 29.8 deg, I 16.5; 33.8 deg, I 15.3; 42.2 deg, I 100.0; 47.0 deg, I 18.6; 50.0 deg, I 14.4; 50.3 deg, I 15.1; 71.0 deg, I 9.8; 71.3 deg, I 10.3


(6)
Starting from a structure optimized by DFT (GGA-PBE), the PXRD pattern of PmPrIr4 was computed for Cu Kα.
Intensities are scaled so that the largest is 100.

Crystal structure
Unit cell a=7.6964 b=7.6964 c=7.6964 alpha=90.00 beta=90.00 gamma=90.00
Space group F-43m (No. 216)
Inequivalent atoms, fractional coordinates:
Pm: 0.0000 0.0000 0.0000 [4 per cell]
Pr: 0.2500 0.2500 0.2500 [4 per cell]
Ir: 0.1251 0.1251 0.6251 [16 per cell]

Peak list (10 most intense, 2θ = 10–80°, sorted by position)
20.0 deg, I 15.4; 32.9 deg, I 19.2; 38.8 deg, I 100.0; 40.6 deg, I 49.7; 47.2 deg, I 9.3; 51.8 deg, I 4.0; 58.8 deg, I 7.3; 62.7 deg, I 33.0; 69.0 deg, I 30.0; 78.6 deg, I 3.1


(7)
Starting from a structure optimized by DFT (GGA-PBE), the PXRD pattern of Li2Ac3Rh7 was computed for Cu Kα.
Intensities are scaled so that the largest is 100.

Crystal structure
Unit cell a=5.5023 b=5.5023 c=26.0098 alpha=90.00 beta=90.00 gamma=120.00
Space group R-3m (No. 166, hexagonal axes)
Inequivalent atoms, fractional coordinates:
Li: 0.0000 0.0000 0.1639 [6 per cell]
Ac: 0.0000 0.0000 0.3604 [6 per cell]
Ac: 0.0000 0.0000 0.5000 [3 per cell]
Rh: 0.0000 0.0000 0.0000 [3 per cell]
Rh: 0.0036 0.5018 0.4186 [18 per cell]

Peak list (10 most intense, 2θ = 10–80°, sorted by position)
10.2 deg, I 35.6; 30.5 deg, I 83.8; 32.5 deg, I 42.2; 33.4 deg, I 75.8; 37.9 deg, I 78.4; 38.8 deg, I 100.0; 41.7 deg, I 33.9; 56.8 deg, I 30.9; 63.5 deg, I 34.5; 68.2 deg, I 31.3


(8)
Starting from a structure optimized by DFT (GGA-PBE), the PXRD pattern of Tm2CuHPt6 was computed for Cu Kα.
Intensities are scaled so that the largest is 100.

Crystal structure
Unit cell a=9.6432 b=5.5686 c=6.9424 alpha=90.00 beta=117.50 gamma=90.00
Space group C2/m (No. 12)
Inequivalent atoms, fractional coordinates:
Tm: 0.2113 0.0000 0.1347 [4 per cell]
Cu: 0.0000 0.5000 0.0000 [2 per cell]
H: 0.0000 0.0000 0.5000 [2 per cell]
Pt: 0.0195 0.2522 0.3075 [8 per cell]
Pt: 0.2326 0.0000 0.6919 [4 per cell]

Peak list (10 most intense, 2θ = 10–80°, sorted by position)
29.0 deg, I 27.0; 30.5 deg, I 23.4; 35.4 deg, I 25.5; 38.6 deg, I 100.0; 38.9 deg, I 25.0; 42.3 deg, I 70.4; 55.6 deg, I 11.8; 61.9 deg, I 14.0; 67.3 deg, I 26.6; 74.9 deg, I 11.5


(9)
Starting from a structure optimized by DFT (GGA-PBE), the PXRD pattern of Pm3Dy3Y2 was computed for Cu Kα.
Intensities are scaled so that the largest is 100.

Crystal structure
Unit cell a=7.1784 b=14.3725 c=6.1984 alpha=90.00 beta=125.14 gamma=90.00
Space group C2/m (No. 12)
Inequivalent atoms, fractional coordinates:
Pm: 0.0000 0.0000 0.0000 [2 per cell]
Pm: 0.0000 0.3751 0.5000 [4 per cell]
Dy: 0.0000 0.2503 0.0000 [4 per cell]
Dy: 0.0000 0.5000 0.0000 [2 per cell]
Y: 0.0000 0.1258 0.5000 [4 per cell]

Peak list (10 most intense, 2θ = 10–80°, sorted by position)
30.5 deg, I 100.0; 30.6 deg, I 33.1; 35.4 deg, I 67.2; 50.8 deg, I 31.9; 51.0 deg, I 15.8; 60.4 deg, I 33.1; 60.6 deg, I 18.8; 60.7 deg, I 4.7; 63.5 deg, I 8.1; 74.8 deg, I 5.0


(10)
Starting from a structure optimized by DFT (GGA-PBE), the PXRD pattern of MgO was computed for Cu Kα.
Intensities are scaled so that the largest is 100.

Crystal structure
Unit cell a=6.1579 b=21.6054 c=4.2222 alpha=90.00 beta=90.00 gamma=90.00
Space group Ibam (No. 72)
Inequivalent atoms, fractional coordinates:
Mg: 0.1648 0.1281 0.0000 [8 per cell]
Mg: 0.1657 0.2907 0.0000 [8 per cell]
Mg: 0.1664 0.4525 0.0000 [8 per cell]
O: 0.1653 0.1283 0.5000 [8 per cell]
O: 0.1657 0.2906 0.5000 [8 per cell]
O: 0.1713 0.4524 0.5000 [8 per cell]

Peak list (10 most intense, 2θ = 10–80°, sorted by position)
25.2 deg, I 75.5; 29.0 deg, I 80.0; 32.4 deg, I 68.4; 42.8 deg, I 100.0; 49.1 deg, I 39.1; 50.7 deg, I 52.2; 53.6 deg, I 53.9; 67.2 deg, I 26.3; 68.5 deg, I 36.7; 70.9 deg, I 40.5